This entry pairs a crystal structure of Cs2SnHg2I4 with its calculated XRD peak list. Radiation: Cu Kα, 1.54184 Å. Structure: a crystal structure in Alexandria, relaxed with GGA-PBE.
Lines closer than 0.1° are merged.

Cell and atoms:
```
data_Cs2SnHg2I4
_cell_length_a 9.2148
_cell_length_b 9.2148
_cell_length_c 9.3730
_cell_angle_alpha 90.00
_cell_angle_beta 90.00
_cell_angle_gamma 90.00
_symmetry_space_group_name_H-M 'I 4/m m m'
_symmetry_Int_Tables_number 139
_symmetry_space_group_name_Hall '-I 4 2'
loop_
_atom_site_label
_atom_site_fract_x
_atom_site_fract_y
_atom_site_fract_z
_atom_site_occupancy
Cs1 0.0000 0.5000 0.2500 1
Sn1 0.0000 0.0000 0.0000 1
Hg1 0.0000 0.0000 0.3278 1
I1 0.2423 0.2423 0.0000 1
```

Top 8 peaks for 2θ from 15° to 90°, low angle first:
Position (°2θ)  I_rel
27.1  93
27.4  100
30.2  28
36.1  29
39.1  38
45.9  21
48.2  37
63.9  18